Structure and simulated powder diffraction line list of Sr2Cd12In5 (a crystal structure in Alexandria, relaxed with GGA-PBE; Cu Kα).
Kinematic intensities with the Lorentz-polarization factor, no thermal factor.

The 12 most intense peaks (15 to 90 degrees two-theta), by angle:
d [Å]	2θ (°)	I_rel	h k l
5.333	16.62	18	1 1 0
3.079	29.00	33	3 0 0
2.666	33.61	52	2 2 0
2.613	34.31	100	0 3 3
2.496	35.98	13	2 0 5
2.472	36.34	32	0 0 6
2.347	38.36	90	2 2 3
2.243	40.21	24	1 1 6
1.673	54.89	20	3 3 3
1.539	60.11	29	6 0 0
1.453	64.09	23	0 3 9
1.307	72.31	20	0 6 6

Crystal structure
```
data_Sr2Cd12In5
_chemical_formula_sum 'Sr6 Cd36 In15'
_cell_length_a 10.6651
_cell_length_b 10.6651
_cell_length_c 14.8313
_cell_angle_alpha 90.00
_cell_angle_beta 90.00
_cell_angle_gamma 120.00
_space_group_name_H-M_alt 'R -3 m'
_space_group_IT_number 166
_space_group_name_Hall '-R 3 2"'
loop_
_atom_site_label
_atom_site_fract_x
_atom_site_fract_y
_atom_site_fract_z
_atom_site_occupancy
Sr1 0.0000 0.0000 0.1656 1
Cd1 0.0000 0.3147 0.5000 1
Cd2 0.0172 0.5086 0.6566 1
In1 0.0000 0.0000 0.3995 1
In2 0.0000 0.5000 0.0000 1
```



Structure and simulated powder diffraction line list of SrCd3In9 (a crystal structure in Alexandria, relaxed with GGA-PBE; Cu Kα).
Kinematic intensities with the Lorentz-polarization factor, no thermal factor.

The 12 most intense peaks (15 to 90 degrees two-theta), by angle:
d [Å]	2θ (°)	I_rel	h k l
3.132	28.50	33	1 3 1
3.085	28.94	33	1 3 -2
2.761	32.43	42	1 5 0
2.750	32.56	43	1 5 -1
2.727	32.84	98	0 4 2
2.673	33.52	38	1 1 2
2.645	33.89	59	2 2 0
2.625	34.16	38	1 1 -3
2.608	34.39	58	2 2 -2
2.493	36.02	44	0 6 1
2.390	37.64	100	2 4 -1
2.370	37.97	31	2 0 1

Crystal structure
```
data_SrCd3In9
_chemical_formula_sum 'Sr2 Cd6 In18'
_cell_length_a 5.994
_cell_length_b 15.857
_cell_length_c 8.026
_cell_angle_alpha 90.00
_cell_angle_beta 110.59
_cell_angle_gamma 90.00
_space_group_name_H-M_alt 'C 1 2/m 1'
_space_group_IT_number 12
_space_group_name_Hall '-C 2y'
loop_
_atom_site_label
_atom_site_fract_x
_atom_site_fract_y
_atom_site_fract_z
_atom_site_occupancy
Sr1 0.000 0.000 0.000 1
Cd1 0.000 0.000 0.500 1
Cd2 0.250 0.250 0.000 1
In1 0.000 0.500 0.500 1
In2 0.110 0.394 0.209 1
In3 0.176 0.178 0.356 1
```